The following is a computed XRD peak list of Li2CrH4O6. It was derived from a crystal structure in Alexandria, relaxed with PBE+U, using Cu Ka.
No peak broadening, texture or thermal motion is included.

Most intense lines, 15 to 90 degrees two-theta, in order of rising 2θ:
4.777 Å, I 95, (0 1 2); 4.556 Å, I 68, (1 1 0); 4.263 Å, I 71, (1 1 1); 4.111 Å, I 100, (1 0 2); 3.713 Å, I 47, (0 2 1); 3.578 Å, I 55, (0 1 3); 3.204 Å, I 62, (1 2 0); 3.097 Å, I 87, (1 2 1); 3.019 Å, I 83, (0 0 4); 2.805 Å, I 83, (2 0 0)

```
data_Li2CrH4O6
_cell_length_a 5.6114
_cell_length_b 7.8048
_cell_length_c 12.0801
_cell_angle_alpha 90.00
_cell_angle_beta 90.00
_cell_angle_gamma 90.00
_symmetry_space_group_name_H-M 'P 1'
_symmetry_Int_Tables_number 1
loop_
_symmetry_equiv_pos_as_xyz
'x,y,z'
loop_
_atom_site_label
_atom_site_fract_x
_atom_site_fract_y
_atom_site_fract_z
_atom_site_occupancy
Li1 0.0837 0.2015 0.0018 1
Li2 0.1759 0.1393 0.3713 1
Li3 0.3241 0.8607 0.8713 1
Li4 0.4163 0.7985 0.5018 1
Li5 0.5837 0.2985 0.9982 1
Li6 0.6759 0.3607 0.6287 1
Li7 0.8241 0.6393 0.1287 1
Li8 0.9163 0.7015 0.4982 1
Cr1 0.1764 0.1192 0.6354 1
Cr2 0.3236 0.8808 0.1354 1
Cr3 0.6764 0.3808 0.3646 1
Cr4 0.8236 0.6192 0.8646 1
H1 0.1669 0.7003 0.3114 1
H2 0.1724 0.6729 0.6890 1
H3 0.2366 0.5166 0.6153 1
H4 0.2493 0.5437 0.3798 1
H5 0.2507 0.4563 0.8798 1
H6 0.2634 0.4834 0.1153 1
H7 0.3276 0.3271 0.1890 1
H8 0.3331 0.2997 0.8114 1
H9 0.6669 0.7997 0.6886 1
H10 0.6724 0.8271 0.3110 1
H11 0.7366 0.9834 0.3847 1
H12 0.7493 0.9563 0.6202 1
H13 0.7507 0.0437 0.1202 1
H14 0.7634 0.0166 0.8847 1
H15 0.8276 0.1729 0.8110 1
H16 0.8331 0.2003 0.1886 1
O1 0.1168 0.6586 0.8506 1
O2 0.1702 0.6971 0.1435 1
O3 0.1978 0.6649 0.3881 1
O4 0.1985 0.6408 0.6111 1
O5 0.2265 0.0218 0.5144 1
O6 0.2393 0.0056 0.2373 1
O7 0.2607 0.9944 0.7373 1
O8 0.2735 0.9782 0.0144 1
O9 0.3015 0.3592 0.1111 1
O10 0.3022 0.3351 0.8881 1
O11 0.3298 0.3029 0.6435 1
O12 0.3832 0.3414 0.3506 1
O13 0.6168 0.8414 0.1494 1
O14 0.6702 0.8029 0.8565 1
O15 0.6978 0.8351 0.6119 1
O16 0.6985 0.8592 0.3889 1
O17 0.7265 0.4782 0.4856 1
O18 0.7393 0.4944 0.7627 1
O19 0.7607 0.5056 0.2627 1
O20 0.7735 0.5218 0.9856 1
O21 0.8015 0.1408 0.8889 1
O22 0.8022 0.1649 0.1119 1
O23 0.8298 0.1971 0.3565 1
O24 0.8832 0.1586 0.6494 1
```